No. 1
The following is a simulated X-ray powder pattern of Tl4Ge3Cl10. It was derived from a cell relaxed with PBE, using a wavelength of 1.5418 Å.
Lines closer than 0.1° are merged.

The 10 most intense peaks (2θ = 5–70°), by angle:
d 5.223, 16.98°, rel. 11; d 4.631, 19.16°, rel. 9; d 3.734, 23.83°, rel. 100; d 2.905, 30.78°, rel. 33; d 2.646, 33.87°, rel. 11; d 2.638, 33.99°, rel. 37; d 2.156, 41.91°, rel. 36; d 1.867, 48.78°, rel. 28; d 1.668, 55.04°, rel. 15; d 1.569, 58.84°, rel. 10

Atomic structure:
```
17
Lattice="-2.6377 2.6377 18.5251 2.6377 -2.6377 18.5251 2.6377 2.6377 -18.5251" Properties=species:S:1:pos:R:3 pbc="T T T"
Tl 0.0000 0.0000 2.4485
Tl 0.0000 0.0000 7.4054
Tl 0.0000 0.0000 29.6448
Tl 0.0000 0.0000 34.6017
Ge 0.0000 0.0000 13.1142
Ge 0.0000 0.0000 18.5251
Ge 0.0000 0.0000 23.9360
Cl 2.6377 0.0000 0.0000
Cl 2.6377 0.0000 5.3237
Cl 0.0000 0.0000 10.5992
Cl 2.6377 0.0000 13.2014
Cl 0.0000 0.0000 15.9091
Cl 0.0000 2.6377 0.0000
Cl 0.0000 0.0000 21.1411
Cl 0.0000 2.6377 5.3237
Cl 0.0000 0.0000 26.4510
Cl 0.0000 2.6377 13.2014
```



No. 2
The following is a simulated X-ray powder pattern of TlGeCl3. It was derived from a cell relaxed with PBE, using a wavelength of 1.5418 Å.
Lines closer than 0.1° are merged.

The 10 most intense peaks (2θ = 5–70°), by angle:
d 8.859, 9.98°, rel. 100; d 6.236, 14.20°, rel. 45; d 3.992, 22.27°, rel. 32; d 3.943, 22.55°, rel. 46; d 3.268, 27.29°, rel. 46; d 3.204, 27.85°, rel. 35; d 3.017, 29.61°, rel. 42; d 2.993, 29.85°, rel. 31; d 2.795, 32.02°, rel. 33; d 2.744, 32.64°, rel. 40

Atomic structure:
```
20
Lattice="9.8507 0.0000 0.0000 0.0000 8.6516 0.0000 -4.3741 0.0000 8.9980" Properties=species:S:1:pos:R:3 pbc="T T T"
Tl 0.8257 1.9785 0.6640
Tl -1.3613 2.3473 5.1630
Tl 6.8379 6.3043 3.8350
Tl 4.6509 6.6730 8.3341
Ge 1.1273 5.2167 3.4094
Ge -1.0598 7.7606 7.9084
Ge 6.5364 0.8910 1.0896
Ge 4.3494 3.4348 5.5886
Cl -0.7727 4.6357 1.9899
Cl -2.9598 8.3416 6.4889
Cl -0.2209 5.4307 5.3381
Cl 1.9662 7.5466 0.8391
Cl -0.5012 1.3926 8.2435
Cl 1.6859 2.9332 3.7445
Cl 3.7907 5.7184 5.2535
Cl 5.9778 7.2589 0.7545
Cl 3.5104 1.1049 8.1590
Cl 5.6975 3.2209 3.6599
Cl 8.4364 0.3099 2.5091
Cl 6.2493 4.0159 7.0081
```



No. 3
The following is a simulated X-ray powder pattern of TlGeCl3. It was derived from a cell relaxed with PBE, using a wavelength of 1.5418 Å.
Lines closer than 0.1° are merged.

The 10 most intense peaks (2θ = 5–70°), by angle:
d 5.524, 16.04°, rel. 34; d 4.260, 20.85°, rel. 37; d 3.848, 23.11°, rel. 100; d 3.628, 24.54°, rel. 21; d 3.005, 29.73°, rel. 26; d 2.762, 32.41°, rel. 24; d 2.682, 33.41°, rel. 25; d 2.645, 33.89°, rel. 24; d 2.456, 36.59°, rel. 28; d 2.372, 37.93°, rel. 22

Atomic structure:
```
10
Lattice="5.3636 0.0000 0.0000 0.0000 7.2560 0.0000 0.0000 0.0000 8.5203" Properties=species:S:1:pos:R:3 pbc="T T T"
Tl 0.0000 0.0000 0.0000
Tl 0.0000 3.6280 4.2602
Ge 2.6818 0.0000 5.1101
Ge 2.6818 3.6280 0.8499
Cl 0.0000 0.0000 5.3991
Cl 0.0000 3.6280 1.1390
Cl 2.6818 1.7606 3.5137
Cl 2.6818 1.8674 7.7739
Cl 2.6818 5.3886 7.7739
Cl 2.6818 5.4953 3.5137
```



No. 4
The following is a simulated X-ray powder pattern of TlGe2Cl4. It was derived from a cell relaxed with PBE, using a wavelength of 1.5418 Å.
Lines closer than 0.1° are merged.

The 10 most intense peaks (2θ = 5–70°), by angle:
d 5.563, 15.93°, rel. 100; d 4.001, 22.22°, rel. 57; d 3.248, 27.46°, rel. 100; d 3.194, 27.93°, rel. 75; d 2.829, 31.63°, rel. 39; d 2.118, 42.70°, rel. 89; d 2.093, 43.23°, rel. 28; d 1.789, 51.05°, rel. 23; d 1.567, 58.94°, rel. 19; d 1.454, 64.03°, rel. 16

Atomic structure:
```
14
Lattice="8.0011 0.0000 0.0000 0.0000 8.0011 0.0000 0.0000 0.0000 7.7399" Properties=species:S:1:pos:R:3 pbc="T T T"
Tl 0.0000 0.0000 0.0000
Tl 4.0006 4.0006 3.8699
Ge 0.0000 4.0006 1.9350
Ge 0.0000 4.0006 5.8049
Ge 4.0006 0.0000 1.9350
Ge 4.0006 0.0000 5.8049
Cl 1.1406 2.5845 3.8699
Cl 1.4161 5.1412 0.0000
Cl 2.5845 6.8605 3.8699
Cl 2.8599 1.4161 0.0000
Cl 5.1412 6.5850 0.0000
Cl 5.4166 1.1406 3.8699
Cl 6.5850 2.8599 0.0000
Cl 6.8605 5.4166 3.8699
```